# 1
Calculated X-ray powder pattern of LiAlPO5 for Cu Kα (λ = 1.5418 Å), from a cell relaxed with GGA-PBE.
No peak broadening, texture or thermal motion is included.

Structure:
```
16
Lattice="5.137 0.000 0.000 -0.901 5.139 0.000 -2.030 -2.285 6.327" Properties=species:S:1:pos:R:3 pbc="T T T"
Li 0.271 1.237 1.824
Li 1.935 1.617 4.503
Al 2.568 0.000 0.000
Al 1.554 -1.142 3.163
P -0.911 0.118 4.709
P 3.117 2.736 1.618
O -0.793 2.994 2.536
O -1.277 1.500 5.353
O -0.777 -0.979 5.763
O 0.374 0.274 3.847
O 1.580 -0.225 1.553
O 0.626 3.079 4.774
O 1.832 2.579 2.480
O 2.982 3.833 0.563
O 3.483 1.354 0.974
O 2.999 -0.140 3.791
```

Largest 12 diffraction maxima, in order of rising 2θ, 2θ = 10–90°:
| 2θ (°) | intensity |
| --- | --- |
| 18.75 | 28.5 |
| 19.00 | 100.0 |
| 26.32 | 42.3 |
| 26.75 | 67.4 |
| 27.24 | 32.1 |
| 27.83 | 63.4 |
| 27.97 | 85.4 |
| 29.80 | 90.2 |
| 36.87 | 34.5 |
| 47.14 | 22.3 |
| 52.36 | 23.6 |
| 56.16 | 28.4 |

=====

# 2
Calculated X-ray powder pattern of LiAlSi2O7 for Cu Kα (λ = 1.5418 Å), from a cell relaxed with GGA-PBE.
No peak broadening, texture or thermal motion is included.

Structure:
```
22
Lattice="5.066 0.000 0.000 0.013 7.687 0.000 0.084 3.572 8.009" Properties=species:S:1:pos:R:3 pbc="T T T"
Li 0.000 0.000 0.000
Li 2.582 8.256 4.605
Al 2.603 0.765 1.414
Al 5.083 9.979 5.294
Si 0.086 7.757 3.079
Si 0.195 4.622 3.118
Si 2.570 9.778 7.192
Si 2.744 3.939 1.361
O 0.341 6.209 3.516
O 0.696 8.666 4.304
O 0.894 8.082 1.680
O 1.064 10.227 6.711
O 1.161 5.667 6.545
O 1.616 4.092 2.526
O 2.110 6.143 5.927
O 2.325 4.841 0.063
O 2.896 2.396 0.931
O 3.172 7.406 0.077
O 3.487 9.439 5.875
O 3.547 8.060 2.891
O 4.148 4.541 1.929
O 4.880 3.774 4.425
```

Largest 12 diffraction maxima, in order of rising 2θ, 2θ = 10–90°:
| 2θ (°) | intensity |
| --- | --- |
| 11.05 | 35.5 |
| 12.61 | 29.2 |
| 12.95 | 17.0 |
| 19.93 | 16.7 |
| 20.65 | 57.0 |
| 20.84 | 100.0 |
| 21.90 | 15.3 |
| 25.38 | 78.1 |
| 26.07 | 56.1 |
| 26.55 | 15.7 |
| 27.02 | 20.0 |
| 35.44 | 17.3 |

=====

# 3
Calculated X-ray powder pattern of Li2Al2Si3O12 for Cu Kα (λ = 1.5418 Å), from a cell relaxed with GGA-PBE.
No peak broadening, texture or thermal motion is included.

Structure:
```
38
Lattice="0.000 9.100 3.334 8.758 0.000 3.334 8.758 9.100 0.000" Properties=species:S:1:pos:R:3 pbc="T T T"
Li 5.024 0.896 1.667
Li 9.403 3.654 3.334
Li 3.733 8.204 1.667
Li 8.112 14.545 3.334
Al 13.659 6.310 3.267
Al 9.280 7.339 4.934
Al 8.235 10.860 4.934
Al 3.856 11.889 3.267
Si 15.713 8.570 3.291
Si 6.181 4.020 1.624
Si 8.758 9.100 2.403
Si 2.577 5.080 1.624
Si 13.136 13.649 4.071
Si 1.802 9.630 3.291
O 5.235 2.820 1.046
O 7.733 3.463 1.760
O 6.193 5.282 0.589
O 9.186 5.237 1.821
O 10.091 9.168 1.446
O 14.161 8.013 3.428
O 2.564 3.817 0.589
O 7.424 9.031 1.446
O 3.522 6.280 1.046
O 12.708 9.787 3.488
O 5.713 4.482 3.114
O 8.857 7.761 3.312
O 8.329 12.962 1.821
O 1.025 5.637 1.760
O 11.802 13.718 3.114
O 8.658 10.438 3.312
O 13.037 12.311 4.979
O 10.572 8.367 5.591
O 4.807 8.413 3.488
O 13.236 14.988 4.979
O 16.658 16.469 6.048
O 3.354 10.187 3.428
O 9.614 10.830 6.048
O 6.943 9.832 5.591
```

Largest 12 diffraction maxima, in order of rising 2θ, 2θ = 10–90°:
| 2θ (°) | intensity |
| --- | --- |
| 14.04 | 100.0 |
| 15.03 | 99.5 |
| 19.51 | 30.8 |
| 20.43 | 57.8 |
| 20.80 | 78.8 |
| 28.40 | 41.2 |
| 28.51 | 19.5 |
| 28.65 | 31.7 |
| 29.21 | 42.9 |
| 30.32 | 33.9 |
| 31.93 | 54.8 |
| 32.42 | 40.8 |

=====

# 4
Calculated X-ray powder pattern of LiAlSi3O8 for Cu Kα (λ = 1.5418 Å), from a cell relaxed with GGA-PBE.
No peak broadening, texture or thermal motion is included.

Structure:
```
26
Lattice="7.130 0.000 0.000 -0.932 7.278 0.000 -2.608 -3.680 6.123" Properties=species:S:1:pos:R:3 pbc="T T T"
Li 0.164 1.109 1.523
Li 3.426 2.489 4.601
Al 0.212 5.606 0.992
Al 3.378 -2.008 5.131
Si -0.584 -1.715 5.065
Si -0.492 1.303 4.769
Si 0.487 3.702 3.366
Si 3.103 -0.104 2.757
Si 4.082 2.295 1.354
Si 4.174 5.312 1.058
O -2.044 -2.322 5.417
O -1.834 1.921 5.433
O -0.708 -0.250 4.333
O -0.030 2.107 3.388
O -0.691 4.585 4.078
O 0.622 4.116 1.812
O 1.710 -0.256 1.912
O 2.821 2.142 0.342
O 0.769 1.456 5.781
O 1.880 3.854 4.211
O 2.969 -0.518 4.311
O 4.281 -0.987 2.045
O 3.620 1.491 2.735
O 4.298 3.848 1.790
O 5.424 1.676 0.690
O 5.634 5.919 0.706
```

Largest 12 diffraction maxima, in order of rising 2θ, 2θ = 10–90°:
| 2θ (°) | intensity |
| --- | --- |
| 22.61 | 70.6 |
| 23.06 | 13.7 |
| 24.32 | 44.2 |
| 24.46 | 22.7 |
| 28.21 | 100.0 |
| 28.45 | 51.0 |
| 28.62 | 15.4 |
| 29.95 | 12.9 |
| 30.13 | 15.1 |
| 30.23 | 13.7 |
| 35.60 | 16.1 |
| 51.74 | 12.5 |

=====

# 5
Calculated X-ray powder pattern of LiAlSi2O7 for Cu Kα (λ = 1.5418 Å), from a cell relaxed with GGA-PBE.
No peak broadening, texture or thermal motion is included.

Structure:
```
22
Lattice="5.002 0.000 0.000 -0.019 7.729 0.000 -0.007 -3.580 7.927" Properties=species:S:1:pos:R:3 pbc="T T T"
Li 0.000 0.000 0.000
Li 2.470 4.288 3.136
Al 0.006 6.133 2.567
Al 2.454 4.648 6.380
Si 2.160 0.145 6.462
Si 2.515 6.018 0.672
Si 4.672 0.767 4.750
Si 4.959 3.913 4.732
O 0.102 -0.151 3.520
O 0.615 0.519 6.070
O 1.550 4.258 4.903
O 1.621 5.673 1.999
O 1.846 3.647 7.712
O 2.253 2.378 2.301
O 2.264 -1.419 6.862
O 2.611 1.058 7.730
O 3.113 0.496 5.179
O 4.027 6.449 1.127
O 4.163 4.255 6.126
O 4.335 4.775 3.487
O 4.768 1.896 0.818
O 4.772 2.343 4.315
```

Largest 12 diffraction maxima, in order of rising 2θ, 2θ = 10–90°:
| 2θ (°) | intensity |
| --- | --- |
| 11.16 | 37.1 |
| 12.57 | 27.3 |
| 12.93 | 14.8 |
| 20.01 | 23.7 |
| 21.00 | 100.0 |
| 25.29 | 66.5 |
| 26.02 | 53.7 |
| 26.86 | 30.2 |
| 27.39 | 27.6 |
| 28.74 | 19.9 |
| 35.82 | 26.0 |
| 35.91 | 30.8 |